Structure and computed X-ray diffraction stick pattern of La6ZnSb15 (a cell relaxed with PBE; Cu Kα (λ = 1.5418 Å)).
Neutral-atom scattering factors, no anomalous dispersion.

Atomic structure:
```
22
Lattice="8.1117 -9.8530 0.0000 8.1117 9.8530 0.0000 -1.1684 0.0000 4.2044" Properties=species:S:1:pos:R:3 pbc="T T T"
La 8.1117 7.2095 0.0000
La 4.8370 3.4413 3.5886
La 4.8370 -3.4413 3.5886
La 10.9375 2.6550 3.0422
La 10.9375 -2.6551 3.0422
La 8.1117 -7.2095 0.0000
Zn 9.0970 0.0000 2.5758
Sb -0.4764 0.0000 2.1779
Sb 5.4626 5.9013 1.5089
Sb 3.2174 2.0892 0.8844
Sb 3.3747 0.0000 3.1559
Sb 3.2174 -2.0892 0.8844
Sb 9.7507 5.8921 2.6816
Sb 9.2832 3.9925 0.3080
Sb 7.5974 2.1994 2.0735
Sb 6.1498 0.0000 3.9633
Sb 7.5974 -2.1994 2.0735
Sb 5.4626 -5.9013 1.5089
Sb 11.3045 0.0000 0.8883
Sb 9.2832 -3.9925 0.3080
Sb 13.0588 0.0000 3.8160
Sb 9.7507 -5.8921 2.6816
```

Main lines, in order of rising 2θ (2θ from 10° to 90°):
d (Å)  I/Imax
3.633  22
3.284  13
3.168  25
3.062  14
2.925  68
2.823  13
2.661  100
2.182  29
2.084  17
1.507  14